(1)
Theoretical powder XRD pattern
Compound: Ce5Te2Pt
Radiation: CuKα
Structure: a cell relaxed with PBE
Neutral-atom scattering factors, no anomalous dispersion.

Structural model:
```
data_Ce5Te2Pt
_chemical_formula_sum 'Ce10 Te4 Pt2'
_symmetry_space_group_name_H-M 'P b a m'
_symmetry_Int_Tables_number 55
_symmetry_space_group_name_Hall '-P 2 2ab'
_cell_length_a 7.9706
_cell_length_b 12.2855
_cell_length_c 4.6041
_cell_angle_alpha 90.00
_cell_angle_beta 90.00
_cell_angle_gamma 90.00
loop_
_atom_site_label
_atom_site_type_symbol
_atom_site_fract_x
_atom_site_fract_y
_atom_site_fract_z
Ce1 Ce 0.0000 0.0000 0.0000
Ce2 Ce 0.1395 0.2888 0.0000
Ce3 Ce 0.2088 0.5607 0.5000
Te1 Te 0.0849 0.8234 0.5000
Pt1 Pt 0.0000 0.5000 0.0000
```

Most intense lines, 2θ from 5° to 70°, in order of rising 2θ:
(2 1 1), 30.55°, intensity 84; (1 4 0), 31.21°, intensity 49; (1 3 1), 31.32°, intensity 41; (2 2 1), 33.11°, intensity 100; (0 0 2), 39.13°, intensity 53; (1 4 2), 50.90°, intensity 35

(2)
Theoretical powder XRD pattern
Compound: CeTh2Pt4
Radiation: CuKα
Structure: a cell relaxed with PBE
Neutral-atom scattering factors, no anomalous dispersion.

Structural model:
```
data_CeTh2Pt4
_chemical_formula_sum 'Ce4 Th8 Pt16'
_symmetry_space_group_name_H-M 'I -4 2 d'
_symmetry_Int_Tables_number 122
_symmetry_space_group_name_Hall 'I -4 2bw'
_cell_length_a 8.7196
_cell_length_b 8.7196
_cell_length_c 8.6382
_cell_angle_alpha 90.00
_cell_angle_beta 90.00
_cell_angle_gamma 90.00
loop_
_atom_site_label
_atom_site_type_symbol
_atom_site_fract_x
_atom_site_fract_y
_atom_site_fract_z
Ce1 Ce 0.0000 0.0000 0.0000
Th1 Th 0.1225 0.2500 0.6250
Pt1 Pt 0.0805 0.1694 0.2913
```

Most intense lines, 2θ from 5° to 70°, in order of rising 2θ:
(3 1 0), 32.48°, intensity 100; (1 0 3), 32.75°, intensity 44; (3 2 1), 38.70°, intensity 73; (2 1 3), 38.88°, intensity 50; (4 2 2), 51.42°, intensity 19; (6 1 1), 66.09°, intensity 22